[1]
Computed powder X-ray diffraction pattern of Nb2Cu for Cu Kα X-rays, from a crystal structure in Alexandria, relaxed with PBE.
Intensities are scaled so that the largest is 100.

Cell and atoms:
Lattice parameters (Å, degrees): 3.290 3.290 9.115 90.00 90.00 90.00
Fractional positions:
Nb: 0.250 0.250 0.089
Nb: 0.250 0.250 0.728
Nb: 0.750 0.750 0.272
Nb: 0.750 0.750 0.911
Cu: 0.250 0.250 0.431
Cu: 0.750 0.750 0.569

Peak list (10 most intense, 2θ from 10° to 90°, by angle)
| d_spacing | Position (°2θ) | intensity |
| --- | --- | --- |
| 2.667 | 33.6 | 9 |
| 2.326 | 38.7 | 62 |
| 2.232 | 40.4 | 100 |
| 1.645 | 55.9 | 20 |
| 1.519 | 61.0 | 5 |
| 1.435 | 65.0 | 5 |
| 1.324 | 71.2 | 35 |
| 1.272 | 74.6 | 12 |
| 1.163 | 83.0 | 6 |
| 1.116 | 87.4 | 8 |

=====

[2]
Computed powder X-ray diffraction pattern of Sr2NdNbCu2O8 for Cu Kα X-rays, from a crystal structure in Alexandria, relaxed with PBE.
Intensities are scaled so that the largest is 100.

Cell and atoms:
Lattice parameters (Å, degrees): 5.540 5.540 12.487 102.81 102.81 89.99
Fractional positions:
Sr: 0.098 0.098 0.198
Sr: 0.398 0.398 0.801
Sr: 0.602 0.602 0.199
Sr: 0.902 0.902 0.802
Nd: 0.250 0.250 0.500
Nd: 0.750 0.750 0.500
Nb: 0.000 0.500 0.000
Nb: 0.500 0.000 0.000
Cu: 0.178 0.678 0.356
Cu: 0.322 0.822 0.644
Cu: 0.678 0.178 0.356
Cu: 0.822 0.322 0.644
O: 0.063 0.063 0.629
O: 0.067 0.564 0.631
O: 0.071 0.592 0.167
O: 0.182 0.818 0.000
O: 0.321 0.321 0.008
O: 0.408 0.929 0.833
O: 0.432 0.432 0.368
O: 0.436 0.933 0.369
O: 0.564 0.067 0.631
O: 0.568 0.568 0.632
O: 0.592 0.071 0.167
O: 0.679 0.679 0.992
O: 0.818 0.182 0.000
O: 0.929 0.408 0.833
O: 0.933 0.436 0.369
O: 0.937 0.937 0.371

Peak list (10 most intense, 2θ from 10° to 90°, by angle)
| d_spacing | Position (°2θ) | intensity |
| --- | --- | --- |
| 3.720 | 23.9 | 12 |
| 2.782 | 32.2 | 100 |
| 2.770 | 32.3 | 55 |
| 2.364 | 38.1 | 17 |
| 1.959 | 46.4 | 35 |
| 1.609 | 57.3 | 13 |
| 1.602 | 57.5 | 40 |
| 1.391 | 67.3 | 10 |
| 1.385 | 67.6 | 11 |
| 1.239 | 76.9 | 17 |

=====

[3]
Computed powder X-ray diffraction pattern of NbCu2Ni8 for Cu Kα X-rays, from a crystal structure in Alexandria, relaxed with PBE.
Intensities are scaled so that the largest is 100.

Cell and atoms:
Lattice parameters (Å, degrees): 6.066 6.066 3.828 90.00 90.00 105.58
Fractional positions:
Nb: 0.000 0.000 0.000
Cu: 0.380 0.620 0.500
Cu: 0.620 0.380 0.500
Ni: 0.036 0.306 0.500
Ni: 0.251 0.749 0.000
Ni: 0.306 0.036 0.500
Ni: 0.336 0.336 0.000
Ni: 0.664 0.664 0.000
Ni: 0.694 0.964 0.500
Ni: 0.749 0.251 0.000
Ni: 0.964 0.694 0.500

Peak list (10 most intense, 2θ from 10° to 90°, by angle)
| d_spacing | Position (°2θ) | intensity |
| --- | --- | --- |
| 3.669 | 24.3 | 12 |
| 2.043 | 44.3 | 100 |
| 2.016 | 45.0 | 90 |
| 1.948 | 46.6 | 44 |
| 1.914 | 47.5 | 41 |
| 1.516 | 61.1 | 13 |
| 1.365 | 68.8 | 29 |
| 1.147 | 84.5 | 16 |
| 1.128 | 86.2 | 13 |
| 1.124 | 86.7 | 11 |

=====

[4]
Computed powder X-ray diffraction pattern of NbCuNi for Cu Kα X-rays, from a crystal structure in Alexandria, relaxed with PBE.
Intensities are scaled so that the largest is 100.

Cell and atoms:
Lattice parameters (Å, degrees): 4.228 4.228 5.270 90.00 90.00 120.00
Fractional positions:
Nb: 0.000 0.000 0.239
Nb: 0.000 0.000 0.761
Cu: 0.333 0.667 0.500
Cu: 0.667 0.333 0.500
Ni: 0.333 0.667 0.000
Ni: 0.667 0.333 0.000

Peak list (10 most intense, 2θ from 10° to 90°, by angle)
| d_spacing | Position (°2θ) | intensity |
| --- | --- | --- |
| 3.662 | 24.3 | 7 |
| 2.635 | 34.0 | 2 |
| 2.139 | 42.3 | 100 |
| 2.114 | 42.8 | 97 |
| 1.649 | 55.7 | 2 |
| 1.504 | 61.7 | 31 |
| 1.317 | 71.6 | 6 |
| 1.225 | 78.0 | 30 |
| 1.221 | 78.3 | 15 |
| 1.118 | 87.2 | 22 |

=====

[5]
Computed powder X-ray diffraction pattern of Pr2NbCu3Ni12 for Cu Kα X-rays, from a crystal structure in Alexandria, relaxed with PBE.
Intensities are scaled so that the largest is 100.

Cell and atoms:
Lattice parameters (Å, degrees): 9.223 9.223 9.223 38.60 38.60 38.60
Fractional positions:
Pr: 0.150 0.150 0.150
Pr: 0.850 0.850 0.850
Nb: 0.500 0.500 0.500
Cu: 0.000 0.500 0.500
Cu: 0.500 0.000 0.500
Cu: 0.500 0.500 0.000
Ni: 0.080 0.080 0.694
Ni: 0.080 0.694 0.080
Ni: 0.138 0.572 0.572
Ni: 0.306 0.920 0.920
Ni: 0.428 0.428 0.862
Ni: 0.428 0.862 0.428
Ni: 0.572 0.138 0.572
Ni: 0.572 0.572 0.138
Ni: 0.694 0.080 0.080
Ni: 0.862 0.428 0.428
Ni: 0.920 0.306 0.920
Ni: 0.920 0.920 0.306

Peak list (10 most intense, 2θ from 10° to 90°, by angle)
| d_spacing | Position (°2θ) | intensity |
| --- | --- | --- |
| 2.870 | 31.2 | 100 |
| 2.585 | 34.7 | 28 |
| 2.480 | 36.2 | 45 |
| 2.440 | 36.8 | 37 |
| 2.302 | 39.1 | 36 |
| 2.128 | 42.5 | 40 |
| 2.036 | 44.5 | 41 |
| 1.972 | 46.0 | 30 |
| 1.724 | 53.1 | 34 |
| 1.524 | 60.8 | 38 |

=====

[6]
Computed powder X-ray diffraction pattern of Nb2Cu2NiS6 for Cu Kα X-rays, from a crystal structure in Alexandria, relaxed with PBE.
Intensities are scaled so that the largest is 100.

Cell and atoms:
Lattice parameters (Å, degrees): 6.063 6.063 6.378 98.13 98.13 122.47
Fractional positions:
Nb: 0.137 0.863 0.000
Nb: 0.863 0.137 0.000
Cu: 0.319 0.681 0.500
Cu: 0.681 0.319 0.500
Ni: 0.500 0.500 0.000
S: 0.082 0.434 0.762
S: 0.287 0.287 0.253
S: 0.434 0.082 0.762
S: 0.566 0.918 0.238
S: 0.713 0.713 0.747
S: 0.918 0.566 0.238

Peak list (10 most intense, 2θ from 10° to 90°, by angle)
| d_spacing | Position (°2θ) | intensity |
| --- | --- | --- |
| 6.097 | 14.5 | 25 |
| 4.445 | 20.0 | 21 |
| 4.006 | 22.2 | 15 |
| 2.870 | 31.2 | 14 |
| 2.532 | 35.5 | 100 |
| 2.446 | 36.7 | 49 |
| 1.986 | 45.7 | 13 |
| 1.819 | 50.1 | 36 |
| 1.810 | 50.4 | 18 |
| 1.705 | 53.8 | 26 |

=====

[7]
Computed powder X-ray diffraction pattern of Nb3CuO8 for Cu Kα X-rays, from a crystal structure in Alexandria, relaxed with PBE.
Intensities are scaled so that the largest is 100.

Cell and atoms:
Lattice parameters (Å, degrees): 7.658 5.100 15.549 90.00 107.14 90.00
Fractional positions:
Nb: 0.009 0.235 0.167
Nb: 0.009 0.265 0.667
Nb: 0.253 0.746 0.076
Nb: 0.253 0.754 0.576
Nb: 0.483 0.740 0.335
Nb: 0.483 0.760 0.835
Nb: 0.517 0.240 0.165
Nb: 0.517 0.260 0.665
Nb: 0.747 0.246 0.424
Nb: 0.747 0.254 0.924
Nb: 0.991 0.735 0.333
Nb: 0.991 0.765 0.833
Cu: 0.262 0.243 0.420
Cu: 0.262 0.257 0.920
Cu: 0.738 0.743 0.080
Cu: 0.738 0.757 0.580
O: 0.043 0.575 0.600
O: 0.043 0.925 0.100
O: 0.084 0.069 0.281
O: 0.084 0.431 0.781
O: 0.153 0.599 0.961
O: 0.153 0.901 0.461
O: 0.220 0.081 0.655
O: 0.220 0.419 0.155
O: 0.266 0.596 0.346
O: 0.266 0.904 0.846
O: 0.352 0.073 0.047
O: 0.352 0.427 0.547
O: 0.416 0.585 0.716
O: 0.416 0.915 0.216
O: 0.496 0.067 0.401
O: 0.496 0.433 0.901
O: 0.504 0.567 0.099
O: 0.504 0.933 0.599
O: 0.584 0.085 0.784
O: 0.584 0.415 0.284
O: 0.648 0.573 0.453
O: 0.648 0.927 0.953
O: 0.734 0.096 0.154
O: 0.734 0.404 0.654
O: 0.780 0.581 0.845
O: 0.780 0.919 0.345
O: 0.847 0.099 0.539
O: 0.847 0.401 0.039
O: 0.916 0.569 0.219
O: 0.916 0.931 0.719
O: 0.957 0.075 0.900
O: 0.957 0.425 0.400

Peak list (10 most intense, 2θ from 10° to 90°, by angle)
| d_spacing | Position (°2θ) | intensity |
| --- | --- | --- |
| 3.749 | 23.7 | 25 |
| 3.715 | 24.0 | 26 |
| 3.021 | 29.6 | 100 |
| 3.003 | 29.8 | 97 |
| 2.955 | 30.2 | 21 |
| 2.557 | 35.1 | 30 |
| 2.550 | 35.2 | 26 |
| 1.750 | 52.3 | 32 |
| 1.745 | 52.4 | 22 |
| 1.486 | 62.5 | 24 |

=====

[8]
Computed powder X-ray diffraction pattern of NbCuP2O8 for Cu Kα X-rays, from a crystal structure in Alexandria, relaxed with PBE.
Intensities are scaled so that the largest is 100.

Cell and atoms:
Lattice parameters (Å, degrees): 5.180 6.202 9.900 90.00 91.82 90.00
Fractional positions:
Nb: 0.067 0.250 0.277
Nb: 0.933 0.750 0.723
Cu: 0.405 0.250 0.789
Cu: 0.595 0.750 0.211
P: 0.066 0.750 0.401
P: 0.358 0.750 0.903
P: 0.642 0.250 0.097
P: 0.934 0.250 0.599
O: 0.139 0.750 0.557
O: 0.191 0.561 0.837
O: 0.191 0.939 0.837
O: 0.198 0.546 0.339
O: 0.198 0.954 0.339
O: 0.225 0.250 0.616
O: 0.369 0.250 0.159
O: 0.372 0.750 0.053
O: 0.628 0.250 0.947
O: 0.631 0.750 0.841
O: 0.775 0.750 0.384
O: 0.802 0.046 0.661
O: 0.802 0.454 0.661
O: 0.809 0.061 0.163
O: 0.809 0.439 0.163
O: 0.861 0.250 0.443

Peak list (10 most intense, 2θ from 10° to 90°, by angle)
| d_spacing | Position (°2θ) | intensity |
| --- | --- | --- |
| 4.947 | 17.9 | 100 |
| 4.649 | 19.1 | 52 |
| 4.529 | 19.6 | 37 |
| 3.720 | 23.9 | 79 |
| 3.657 | 24.3 | 46 |
| 3.635 | 24.5 | 33 |
| 3.136 | 28.5 | 35 |
| 3.101 | 28.8 | 94 |
| 2.569 | 34.9 | 39 |
| 2.508 | 35.8 | 42 |